[1]
Starting from a PBE-relaxed structure, the powder XRD pattern of CsMgPO4 was calculated for Cu Ka.

Structure:
a = 9.085 Å, b = 5.592 Å, c = 9.887 Å
α = 90.00°, β = 90.00°, γ = 90.00°
Positions (direct):
Cs 0.002 0.250 0.194
Cs 0.498 0.750 0.694
Cs 0.502 0.250 0.306
Cs 0.998 0.750 0.806
Mg 0.174 0.750 0.415
Mg 0.326 0.250 0.915
Mg 0.674 0.750 0.085
Mg 0.826 0.250 0.585
P 0.207 0.250 0.581
P 0.293 0.750 0.081
P 0.707 0.250 0.919
P 0.793 0.750 0.419
O 0.038 0.250 0.588
O 0.228 0.750 0.226
O 0.237 0.525 0.005
O 0.237 0.975 0.005
O 0.263 0.025 0.505
O 0.263 0.475 0.505
O 0.272 0.250 0.726
O 0.462 0.750 0.088
O 0.538 0.250 0.912
O 0.728 0.750 0.274
O 0.737 0.525 0.495
O 0.737 0.975 0.495
O 0.763 0.025 0.995
O 0.763 0.475 0.995
O 0.772 0.250 0.774
O 0.962 0.750 0.412

Peak list (12 most intense, 10° ≤ 2θ ≤ 90°, low angle first)
| 2theta | d [Å] | intensity |
| --- | --- | --- |
| 18.23 | 4.868 | 22 |
| 25.98 | 3.430 | 64 |
| 26.65 | 3.345 | 39 |
| 26.84 | 3.321 | 100 |
| 28.82 | 3.098 | 21 |
| 31.51 | 2.839 | 22 |
| 32.01 | 2.796 | 24 |
| 39.68 | 2.271 | 13 |
| 43.60 | 2.076 | 15 |
| 50.37 | 1.812 | 20 |
| 53.97 | 1.699 | 13 |
| 58.01 | 1.590 | 15 |

***

[2]
Starting from a PBE-relaxed structure, the powder XRD pattern of Pa2Re3Si5 was calculated for Cu Ka.

Structure:
a = 8.346 Å, b = 8.346 Å, c = 8.346 Å
α = 108.42°, β = 85.01°, γ = 140.45°
Positions (direct):
Pa 0.135 0.233 0.368
Pa 0.365 0.733 0.098
Pa 0.635 0.267 0.902
Pa 0.865 0.767 0.632
Re 0.150 0.905 0.055
Re 0.250 0.750 0.500
Re 0.350 0.405 0.756
Re 0.650 0.595 0.244
Re 0.750 0.250 0.500
Re 0.850 0.095 0.945
Si 0.044 0.750 0.294
Si 0.098 0.670 0.768
Si 0.250 0.250 0.000
Si 0.402 0.170 0.571
Si 0.456 0.750 0.706
Si 0.544 0.250 0.294
Si 0.598 0.830 0.429
Si 0.750 0.750 0.000
Si 0.902 0.330 0.232
Si 0.956 0.250 0.706

Peak list (12 most intense, 10° ≤ 2θ ≤ 90°, low angle first)
| 2theta | d [Å] | intensity |
| --- | --- | --- |
| 23.25 | 3.826 | 23 |
| 23.53 | 3.781 | 40 |
| 29.03 | 3.076 | 19 |
| 31.69 | 2.823 | 19 |
| 33.84 | 2.649 | 22 |
| 34.46 | 2.603 | 28 |
| 35.01 | 2.563 | 100 |
| 36.78 | 2.443 | 31 |
| 40.95 | 2.204 | 14 |
| 43.51 | 2.080 | 54 |
| 55.42 | 1.658 | 25 |
| 58.62 | 1.575 | 23 |

***

[3]
Starting from a PBE-relaxed structure, the powder XRD pattern of RbI3Cl was calculated for Cu Ka.

Structure:
a = 8.646 Å, b = 8.646 Å, c = 8.646 Å
α = 120.91°, β = 120.91°, γ = 88.44°
Positions (direct):
Rb 0.250 0.750 0.500
Rb 0.750 0.250 0.500
I 0.216 0.216 0.000
I 0.273 0.273 0.545
I 0.273 0.727 0.000
I 0.727 0.273 0.000
I 0.727 0.727 0.455
I 0.784 0.784 0.000
Cl 0.000 0.000 0.000
Cl 0.500 0.500 0.000

Peak list (12 most intense, 10° ≤ 2θ ≤ 90°, low angle first)
| 2theta | d [Å] | intensity |
| --- | --- | --- |
| 14.69 | 6.030 | 8 |
| 23.94 | 3.718 | 9 |
| 25.36 | 3.512 | 100 |
| 28.82 | 3.098 | 23 |
| 29.63 | 3.015 | 47 |
| 41.81 | 2.161 | 30 |
| 42.40 | 2.132 | 16 |
| 44.12 | 2.052 | 8 |
| 49.01 | 1.859 | 11 |
| 50.05 | 1.822 | 26 |
| 52.08 | 1.756 | 14 |
| 66.77 | 1.401 | 7 |

***

[4]
Starting from a PBE-relaxed structure, the powder XRD pattern of LiScIrO6 was calculated for Cu Ka.

Structure:
a = 5.252 Å, b = 5.252 Å, c = 8.894 Å
α = 90.00°, β = 90.00°, γ = 120.00°
Positions (direct):
Li 0.000 0.000 0.000
Li 0.000 0.000 0.500
Sc 0.333 0.667 0.250
Sc 0.667 0.333 0.750
Ir 0.333 0.667 0.750
Ir 0.667 0.333 0.250
O 0.029 0.370 0.631
O 0.029 0.659 0.869
O 0.341 0.370 0.869
O 0.341 0.971 0.631
O 0.370 0.029 0.131
O 0.370 0.341 0.369
O 0.630 0.659 0.631
O 0.630 0.971 0.869
O 0.659 0.029 0.369
O 0.659 0.630 0.131
O 0.971 0.341 0.131
O 0.971 0.630 0.369

Peak list (12 most intense, 10° ≤ 2θ ≤ 90°, low angle first)
| 2theta | d [Å] | intensity |
| --- | --- | --- |
| 19.52 | 4.548 | 57 |
| 19.97 | 4.447 | 69 |
| 21.95 | 4.049 | 100 |
| 28.06 | 3.180 | 49 |
| 34.15 | 2.626 | 35 |
| 36.17 | 2.484 | 23 |
| 39.87 | 2.261 | 72 |
| 40.96 | 2.203 | 16 |
| 54.04 | 1.697 | 40 |
| 54.36 | 1.688 | 16 |
| 61.13 | 1.516 | 17 |
| 64.99 | 1.435 | 16 |